This entry pairs a crystal structure of KNiOs with its theoretical powder X-ray diffraction pattern. Radiation: copper Kα. Structure: the GGA-PBE geometry in Alexandria.
Neutral-atom scattering factors, no anomalous dispersion.

Principal peaks in the range 15° ≤ 2θ ≤ 90°, sorted by position:
23.97 deg, rel. 69
29.64 deg, rel. 87
31.97 deg, rel. 97
41.17 deg, rel. 48
41.56 deg, rel. 100
44.16 deg, rel. 32
44.31 deg, rel. 79
46.56 deg, rel. 36
51.87 deg, rel. 71
58.59 deg, rel. 33

Cell and atoms:
Cell lengths 2.617, 3.901, 12.055 Å; angles 90.00, 90.00, 90.00 degrees
Space group Imm2 (No. 44)
Inequivalent atoms, fractional coordinates:
K (0.000, 0.000, 0.000) [2 per cell]
Ni (0.000, 0.000, 0.719) [2 per cell]
Os (0.000, 0.000, 0.277) [2 per cell]


This entry pairs a crystal structure of K4NiOs with its theoretical powder X-ray diffraction pattern. Radiation: copper Kα. Structure: the GGA-PBE geometry in Alexandria.
Neutral-atom scattering factors, no anomalous dispersion.

Principal peaks in the range 15° ≤ 2θ ≤ 90°, sorted by position:
16.64 deg, rel. 34
19.24 deg, rel. 16
27.34 deg, rel. 64
32.17 deg, rel. 100
33.64 deg, rel. 16
48.32 deg, rel. 27
51.46 deg, rel. 34
56.41 deg, rel. 22
77.39 deg, rel. 13
79.84 deg, rel. 20

Cell and atoms:
Cell lengths 9.228, 9.228, 9.228 Å; angles 90.00, 90.00, 90.00 degrees
Space group F-43m (No. 216)
Inequivalent atoms, fractional coordinates:
K (0.125, 0.125, 0.125) [16 per cell]
Ni (0.250, 0.250, 0.750) [4 per cell]
Os (0.000, 0.000, 0.500) [4 per cell]


This entry pairs a crystal structure of K2NiPPd with its theoretical powder X-ray diffraction pattern. Radiation: copper Kα. Structure: the GGA-PBE geometry in Alexandria.
Neutral-atom scattering factors, no anomalous dispersion.

Principal peaks in the range 15° ≤ 2θ ≤ 90°, sorted by position:
19.93 deg, rel. 43
24.69 deg, rel. 69
28.33 deg, rel. 100
37.93 deg, rel. 45
40.49 deg, rel. 36
41.07 deg, rel. 17
50.64 deg, rel. 36
59.04 deg, rel. 22
66.34 deg, rel. 15
81.07 deg, rel. 17

Cell and atoms:
Cell lengths 6.302, 6.302, 4.396 Å; angles 90.00, 90.00, 90.00 degrees
Space group P4/mmm (No. 123)
Inequivalent atoms, fractional coordinates:
K (0.000, 0.500, 0.000) [2 per cell]
Ni (0.000, 0.000, 0.500) [1 per cell]
P (0.500, 0.500, 0.500) [1 per cell]
Pd (0.500, 0.500, 0.000) [1 per cell]


This entry pairs a crystal structure of KNiPS4 with its theoretical powder X-ray diffraction pattern. Radiation: copper Kα. Structure: the GGA-PBE geometry in Alexandria.
Neutral-atom scattering factors, no anomalous dispersion.

Principal peaks in the range 15° ≤ 2θ ≤ 90°, sorted by position:
15.96 deg, rel. 78
16.96 deg, rel. 76
21.21 deg, rel. 26
21.94 deg, rel. 100
26.32 deg, rel. 34
33.07 deg, rel. 22
37.61 deg, rel. 71
38.92 deg, rel. 23
46.32 deg, rel. 23
54.90 deg, rel. 52

Cell and atoms:
Cell lengths 8.379, 8.379, 11.105 Å; angles 90.00, 90.00, 90.00 degrees
Space group P4_2/mnm (No. 136)
Inequivalent atoms, fractional coordinates:
K (0.000, 0.500, 0.250) [4 per cell]
Ni (0.000, 0.000, 0.000) [2 per cell]
Ni (0.000, 0.000, 0.500) [2 per cell]
P (0.250, 0.250, 0.000) [4 per cell]
S (0.005, 0.263, 0.000) [8 per cell]
S (0.135, 0.865, 0.362) [8 per cell]


This entry pairs a crystal structure of K3Pa3NiSe8 with its theoretical powder X-ray diffraction pattern. Radiation: copper Kα. Structure: the GGA-PBE geometry in Alexandria.
Neutral-atom scattering factors, no anomalous dispersion.

Principal peaks in the range 15° ≤ 2θ ≤ 90°, sorted by position:
25.23 deg, rel. 23
29.29 deg, rel. 100
29.47 deg, rel. 45
36.70 deg, rel. 44
39.36 deg, rel. 33
40.24 deg, rel. 18
43.51 deg, rel. 18
44.58 deg, rel. 33
45.96 deg, rel. 22
53.43 deg, rel. 17

Cell and atoms:
Cell lengths 13.978, 8.319, 9.104 Å; angles 90.00, 119.86, 90.00 degrees
Space group C2/m (No. 12)
Inequivalent atoms, fractional coordinates:
K (0.000, 0.000, 0.000) [2 per cell]
K (0.250, 0.250, 0.000) [4 per cell]
Pa (0.000, 0.500, 0.500) [2 per cell]
Pa (0.250, 0.250, 0.500) [4 per cell]
Ni (0.000, 0.000, 0.500) [2 per cell]
Se (0.017, 0.253, 0.299) [8 per cell]
Se (0.211, 0.000, 0.683) [4 per cell]
Se (0.238, 0.500, 0.712) [4 per cell]


This entry pairs a crystal structure of K4Pa3NiTe8 with its theoretical powder X-ray diffraction pattern. Radiation: copper Kα. Structure: the GGA-PBE geometry in Alexandria.
Neutral-atom scattering factors, no anomalous dispersion.

Principal peaks in the range 15° ≤ 2θ ≤ 90°, sorted by position:
23.67 deg, rel. 10
27.45 deg, rel. 100
34.44 deg, rel. 23
37.23 deg, rel. 35
41.11 deg, rel. 36
46.54 deg, rel. 15
50.19 deg, rel. 13
61.33 deg, rel. 11
66.74 deg, rel. 10
70.98 deg, rel. 10

Cell and atoms:
Cell lengths 15.233, 8.769, 9.765 Å; angles 90.00, 121.38, 90.00 degrees
Space group C2/m (No. 12)
Inequivalent atoms, fractional coordinates:
K (0.000, 0.000, 0.000) [2 per cell]
K (0.000, 0.500, 0.000) [2 per cell]
K (0.250, 0.250, 0.000) [4 per cell]
Pa (0.000, 0.000, 0.500) [2 per cell]
Pa (0.250, 0.250, 0.500) [4 per cell]
Ni (0.000, 0.500, 0.500) [2 per cell]
Te (0.012, 0.265, 0.301) [8 per cell]
Te (0.225, 0.500, 0.701) [4 per cell]
Te (0.239, 0.000, 0.718) [4 per cell]


This entry pairs a crystal structure of K2Ni3S2 with its theoretical powder X-ray diffraction pattern. Radiation: copper Kα. Structure: the GGA-PBE geometry in Alexandria.
Neutral-atom scattering factors, no anomalous dispersion.

Principal peaks in the range 15° ≤ 2θ ≤ 90°, sorted by position:
16.69 deg, rel. 100
17.05 deg, rel. 38
20.88 deg, rel. 16
23.95 deg, rel. 33
31.71 deg, rel. 23
33.76 deg, rel. 51
42.49 deg, rel. 24
45.47 deg, rel. 45
51.90 deg, rel. 21
63.35 deg, rel. 18

Cell and atoms:
Cell lengths 9.287, 13.550, 21.249 Å; angles 90.00, 90.00, 90.00 degrees
Space group Fddd (No. 70, origin choice 2)
Inequivalent atoms, fractional coordinates:
K (0.081, 0.005, 0.395) [32 per cell]
Ni (0.000, 0.000, 0.000) [16 per cell]
Ni (0.014, 0.074, 0.255) [32 per cell]
S (0.060, 0.338, 0.001) [32 per cell]


This entry pairs a crystal structure of K2Ni3S4 with its theoretical powder X-ray diffraction pattern. Radiation: copper Kα. Structure: the GGA-PBE geometry in Alexandria.
Neutral-atom scattering factors, no anomalous dispersion.

Principal peaks in the range 15° ≤ 2θ ≤ 90°, sorted by position:
20.38 deg, rel. 66
24.44 deg, rel. 67
26.76 deg, rel. 50
35.89 deg, rel. 76
37.26 deg, rel. 63
38.44 deg, rel. 65
39.00 deg, rel. 72
45.39 deg, rel. 66
55.14 deg, rel. 49
55.41 deg, rel. 100

Cell and atoms:
Cell lengths 5.758, 10.123, 26.555 Å; angles 90.00, 90.00, 90.00 degrees
Space group Fddd (No. 70, origin choice 2)
Inequivalent atoms, fractional coordinates:
K (0.125, 0.125, 0.047) [16 per cell]
Ni (0.125, 0.125, 0.376) [16 per cell]
Ni (0.125, 0.125, 0.625) [8 per cell]
S (0.120, 0.291, 0.571) [32 per cell]


What did the seventh record say?
This entry pairs a crystal structure of K2Ni3S2 with its theoretical powder X-ray diffraction pattern. Radiation: copper Kα. Structure: the GGA-PBE geometry in Alexandria.
Neutral-atom scattering factors, no anomalous dispersion.

Principal peaks in the range 15° ≤ 2θ ≤ 90°, sorted by position:
16.69 deg, rel. 100
17.05 deg, rel. 38
20.88 deg, rel. 16
23.95 deg, rel. 33
31.71 deg, rel. 23
33.76 deg, rel. 51
42.49 deg, rel. 24
45.47 deg, rel. 45
51.90 deg, rel. 21
63.35 deg, rel. 18

Cell and atoms:
Cell lengths 9.287, 13.550, 21.249 Å; angles 90.00, 90.00, 90.00 degrees
Space group Fddd (No. 70, origin choice 2)
Inequivalent atoms, fractional coordinates:
K (0.081, 0.005, 0.395) [32 per cell]
Ni (0.000, 0.000, 0.000) [16 per cell]
Ni (0.014, 0.074, 0.255) [32 per cell]
S (0.060, 0.338, 0.001) [32 per cell]


- Number 2 is which compound?
  K4NiOs